Diffraction record for LiVP2O8. The powder diffraction line list is simulated, not measured: it uses a DFT-relaxed cell (GGA+U, Alexandria) and Cu Ka.

Structure:
```
data_LiVP2O8
_chemical_formula_sum 'Li2 V2 P4 O16'
_space_group_name_H-M_alt 'P 1 21/c 1'
_space_group_IT_number 14
_cell_length_a 4.9618
_cell_length_b 8.2490
_cell_length_c 7.9763
_cell_angle_alpha 90.00
_cell_angle_beta 120.96
_cell_angle_gamma 90.00
loop_
_space_group_symop_operation_xyz
'x,y,z'
'-x,-y,-z'
'-x,y+1/2,-z+1/2'
'x,-y+1/2,z+1/2'
loop_
_atom_site_label
_atom_site_fract_x
_atom_site_fract_y
_atom_site_fract_z
Li1 0.0000 0.0000 0.0000
V1 0.5000 0.0000 0.5000
P1 0.1855 0.1769 0.7396
O1 0.1599 0.6440 0.9345
O2 0.2303 0.1341 0.2728
O3 0.2514 0.0950 0.9224
O4 0.4062 0.1222 0.6632
```

The 12 most intense peaks (10 to 80 degrees two-theta), sorted by position:
2θ/deg	I/Imax	hkl
16.84	669	0 1 1
21.01	130	1 1 -1
23.53	1000	1 1 0
25.21	409	0 2 1
25.93	464	1 1 -2
28.23	100	1 2 -1
30.18	199	1 2 0
31.85	220	1 1 1
34.06	306	0 2 2
37.46	221	1 3 -1
38.15	108	2 1 -2
43.01	121	1 1 2